Computed powder diffractogram
Compound: ZrSc9Tl2
Radiation: CuKα
Structure: the GGA-PBE geometry in Alexandria

Atomic structure:
```
12
Lattice="4.525 0.000 0.000 0.000 4.525 0.000 0.000 0.000 13.762" Properties=species:S:1:pos:R:3 pbc="T T T"
Zr 0.000 0.000 0.000
Sc 0.000 2.263 2.272
Sc 0.000 2.263 6.881
Sc 0.000 2.263 11.490
Sc 2.263 0.000 2.272
Sc 2.263 0.000 6.881
Sc 2.263 0.000 11.490
Sc 2.263 2.263 0.000
Sc 2.263 2.263 4.633
Sc 2.263 2.263 9.129
Tl 0.000 0.000 4.614
Tl 0.000 0.000 9.148
```

Top 10 peaks for 2θ from 5° to 70°, most intense first:
- 2.624 Å, 34.17 deg, rel. 100
- 2.263 Å, 39.84 deg, rel. 32
- 4.525 Å, 19.62 deg, rel. 30
- 3.221 Å, 27.69 deg, rel. 27
- 1.366 Å, 68.71 deg, rel. 24
- 1.611 Å, 57.19 deg, rel. 21
- 2.294 Å, 39.28 deg, rel. 17
- 4.587 Å, 19.35 deg, rel. 16
- 13.762 Å, 6.42 deg, rel. 15
- 3.200 Å, 27.88 deg, rel. 13



Computed powder diffractogram
Compound: Zr5Sc5Tl
Radiation: CuKα
Structure: the GGA-PBE geometry in Alexandria

Atomic structure:
```
11
Lattice="5.644 0.000 0.000 -2.822 4.888 0.000 0.000 0.000 10.071" Properties=species:S:1:pos:R:3 pbc="T T T"
Zr 0.000 0.000 2.364
Zr 0.000 0.000 7.706
Zr 0.000 1.668 0.000
Zr -1.377 4.054 0.000
Zr 1.377 4.054 0.000
Sc 0.000 0.000 5.035
Sc 0.000 3.258 3.115
Sc 0.000 3.258 6.956
Sc 2.822 1.629 1.879
Sc 2.822 1.629 8.191
Tl 2.822 1.629 5.035
```

Top 10 peaks for 2θ from 5° to 70°, most intense first:
- 4.397 Å, 20.19 deg, rel. 100
- 2.767 Å, 32.35 deg, rel. 99
- 2.822 Å, 31.71 deg, rel. 87
- 2.199 Å, 41.05 deg, rel. 87
- 2.717 Å, 32.96 deg, rel. 59
- 2.160 Å, 41.82 deg, rel. 46
- 2.444 Å, 36.78 deg, rel. 39
- 2.518 Å, 35.66 deg, rel. 39
- 1.618 Å, 56.89 deg, rel. 36
- 3.507 Å, 25.40 deg, rel. 29



Computed powder diffractogram
Compound: Tm7Sc2
Radiation: CuKα
Structure: the GGA-PBE geometry in Alexandria

Atomic structure:
```
9
Lattice="9.354 0.000 0.000 -4.677 8.101 0.000 0.000 0.000 3.456" Properties=species:S:1:pos:R:3 pbc="T T T"
Tm 0.000 0.000 0.000
Tm -1.715 2.971 0.000
Tm -3.238 5.609 1.728
Tm 1.439 2.492 1.728
Tm 3.430 0.000 0.000
Tm 2.962 5.130 0.000
Tm 6.477 0.000 1.728
Sc 0.000 5.401 1.728
Sc 4.677 2.700 1.728
```

Top 10 peaks for 2θ from 5° to 70°, most intense first:
- 2.779 Å, 32.21 deg, rel. 100
- 2.700 Å, 33.18 deg, rel. 87
- 1.455 Å, 63.97 deg, rel. 30
- 1.937 Å, 46.91 deg, rel. 29
- 1.574 Å, 58.66 deg, rel. 23
- 2.629 Å, 34.10 deg, rel. 22
- 1.637 Å, 56.20 deg, rel. 18
- 3.062 Å, 29.17 deg, rel. 14
- 4.677 Å, 18.97 deg, rel. 13
- 1.559 Å, 59.27 deg, rel. 12



Computed powder diffractogram
Compound: Tm8Sc
Radiation: CuKα
Structure: the GGA-PBE geometry in Alexandria

Atomic structure:
```
9
Lattice="-5.197 5.197 2.446 5.197 -5.197 2.446 5.197 5.197 -2.446" Properties=species:S:1:pos:R:3 pbc="T T T"
Tm 3.445 0.000 0.000
Tm 6.949 0.000 0.000
Tm 0.000 3.445 0.000
Tm 3.483 3.483 0.000
Tm 1.714 -1.714 2.446
Tm -1.714 1.714 2.446
Tm 1.714 1.714 2.446
Tm 0.000 6.949 0.000
Sc 0.000 0.000 0.000
```

Top 10 peaks for 2θ from 5° to 70°, most intense first:
- 2.827 Å, 31.65 deg, rel. 100
- 2.449 Å, 36.70 deg, rel. 50
- 1.477 Å, 62.95 deg, rel. 42
- 1.731 Å, 52.88 deg, rel. 36
- 1.414 Å, 66.10 deg, rel. 12
- 7.349 Å, 12.04 deg, rel. 3
- 3.370 Å, 26.45 deg, rel. 3
- 4.426 Å, 20.06 deg, rel. 2
- 5.197 Å, 17.06 deg, rel. 2
- 3.287 Å, 27.13 deg, rel. 1



Computed powder diffractogram
Compound: Tm3Sc7
Radiation: CuKα
Structure: the GGA-PBE geometry in Alexandria

Atomic structure:
```
10
Lattice="8.496 -2.347 0.000 8.496 2.347 0.000 -1.329 0.000 6.533" Properties=species:S:1:pos:R:3 pbc="T T T"
Tm 0.000 0.000 0.000
Tm 2.563 0.000 3.932
Tm 13.100 0.000 2.601
Sc -0.664 0.000 3.267
Sc 3.265 0.000 0.645
Sc 6.528 0.000 1.296
Sc 5.891 0.000 4.572
Sc 9.773 0.000 1.962
Sc 9.136 0.000 5.238
Sc 12.398 0.000 5.889
```

Top 10 peaks for 2θ from 5° to 70°, most intense first:
- 2.717 Å, 32.97 deg, rel. 100
- 2.350 Å, 38.31 deg, rel. 33
- 1.665 Å, 55.16 deg, rel. 22
- 4.705 Å, 18.86 deg, rel. 19
- 3.328 Å, 26.79 deg, rel. 17
- 2.360 Å, 38.14 deg, rel. 17
- 1.422 Å, 65.66 deg, rel. 13
- 1.416 Å, 65.96 deg, rel. 13
- 1.419 Å, 65.84 deg, rel. 13
- 1.661 Å, 55.29 deg, rel. 11



Computed powder diffractogram
Compound: Tm4Sc
Radiation: CuKα
Structure: the GGA-PBE geometry in Alexandria

Atomic structure:
```
5
Lattice="2.650 -8.030 0.000 2.650 8.030 0.000 0.000 0.000 3.419" Properties=species:S:1:pos:R:3 pbc="T T T"
Tm 2.650 6.289 0.000
Tm 2.650 3.160 1.709
Tm 2.650 -3.160 1.709
Tm 2.650 -6.289 0.000
Sc 2.650 0.000 1.709
```

Top 10 peaks for 2θ from 5° to 70°, most intense first:
- 2.747 Å, 32.60 deg, rel. 100
- 2.828 Å, 31.64 deg, rel. 76
- 2.531 Å, 35.46 deg, rel. 49
- 2.650 Å, 33.83 deg, rel. 47
- 2.603 Å, 34.46 deg, rel. 32
- 1.451 Å, 64.17 deg, rel. 28
- 8.030 Å, 11.02 deg, rel. 27
- 3.146 Å, 28.37 deg, rel. 24
- 1.857 Å, 49.06 deg, rel. 24
- 2.107 Å, 42.92 deg, rel. 18



Computed powder diffractogram
Compound: Tm6Sc
Radiation: CuKα
Structure: the GGA-PBE geometry in Alexandria

Atomic structure:
```
14
Lattice="6.293 0.000 0.000 0.000 6.293 0.000 0.000 0.000 10.884" Properties=species:S:1:pos:R:3 pbc="T T T"
Tm 0.508 3.654 1.493
Tm 0.508 5.785 9.391
Tm 1.573 1.573 3.934
Tm 1.573 1.573 6.949
Tm 2.639 3.654 9.391
Tm 2.639 5.785 1.493
Tm 3.654 0.508 9.391
Tm 3.654 2.639 1.493
Tm 4.720 4.720 3.934
Tm 4.720 4.720 6.949
Tm 5.785 0.508 1.493
Tm 5.785 2.639 9.391
Sc 1.573 4.720 5.442
Sc 4.720 1.573 5.442
```

Top 10 peaks for 2θ from 5° to 70°, most intense first:
- 2.723 Å, 32.89 deg, rel. 100
- 2.500 Å, 35.92 deg, rel. 77
- 3.023 Å, 29.55 deg, rel. 65
- 2.812 Å, 31.83 deg, rel. 48
- 4.119 Å, 21.57 deg, rel. 43
- 2.377 Å, 37.85 deg, rel. 41
- 1.606 Å, 57.36 deg, rel. 37
- 10.884 Å, 8.12 deg, rel. 36
- 1.469 Å, 63.29 deg, rel. 35
- 2.224 Å, 40.56 deg, rel. 34



Computed powder diffractogram
Compound: Tm2Sc5
Radiation: CuKα
Structure: the GGA-PBE geometry in Alexandria

Atomic structure:
```
7
Lattice="2.643 1.526 7.605 -2.643 1.526 7.605 0.000 -3.052 7.605" Properties=species:S:1:pos:R:3 pbc="T T T"
Tm 0.000 0.000 3.169
Tm 0.000 0.000 19.647
Sc 0.000 0.000 0.000
Sc 0.000 0.000 6.584
Sc 0.000 0.000 9.737
Sc 0.000 0.000 13.079
Sc 0.000 0.000 16.232
```

Top 10 peaks for 2θ from 5° to 70°, most intense first:
- 2.643 Å, 33.92 deg, rel. 100
- 2.655 Å, 33.76 deg, rel. 99
- 7.605 Å, 11.64 deg, rel. 50
- 3.570 Å, 24.94 deg, rel. 41
- 1.528 Å, 60.59 deg, rel. 35
- 1.873 Å, 48.61 deg, rel. 34
- 4.488 Å, 19.78 deg, rel. 30
- 2.497 Å, 35.97 deg, rel. 23
- 1.536 Å, 60.27 deg, rel. 21
- 1.526 Å, 60.69 deg, rel. 18



Computed powder diffractogram
Compound: Tm2Sc5
Radiation: CuKα
Structure: the GGA-PBE geometry in Alexandria

Atomic structure:
```
7
Lattice="5.247 -2.349 0.000 5.247 2.349 0.000 -1.066 0.000 7.382" Properties=species:S:1:pos:R:3 pbc="T T T"
Tm 0.523 0.000 1.604
Tm 8.905 0.000 5.777
Sc 1.558 0.000 4.745
Sc 3.656 0.000 0.524
Sc 4.714 0.000 3.691
Sc 5.773 0.000 6.857
Sc 7.870 0.000 2.636
```

Top 10 peaks for 2θ from 5° to 70°, most intense first:
- 2.715 Å, 32.99 deg, rel. 100
- 2.348 Å, 38.34 deg, rel. 33
- 4.280 Å, 20.75 deg, rel. 24
- 1.417 Å, 65.93 deg, rel. 19
- 1.660 Å, 55.33 deg, rel. 18
- 2.358 Å, 38.17 deg, rel. 17
- 1.665 Å, 55.18 deg, rel. 16
- 4.566 Å, 19.44 deg, rel. 13
- 3.691 Å, 24.11 deg, rel. 9
- 5.193 Å, 17.07 deg, rel. 9



Computed powder diffractogram
Compound: Tm3Sc5
Radiation: CuKα
Structure: the GGA-PBE geometry in Alexandria

Atomic structure:
```
8
Lattice="3.415 0.000 0.000 0.000 5.304 0.000 0.000 0.000 11.776" Properties=species:S:1:pos:R:3 pbc="T T T"
Tm 0.000 0.000 0.000
Tm 0.000 2.652 2.072
Tm 1.707 0.000 3.139
Sc 0.000 0.000 6.063
Sc 0.000 2.652 7.956
Sc 1.707 0.000 8.855
Sc 1.707 2.652 5.119
Sc 1.707 2.652 10.783
```

Top 10 peaks for 2θ from 5° to 70°, most intense first:
- 11.776 Å, 7.51 deg, rel. 100
- 2.581 Å, 34.75 deg, rel. 78
- 2.574 Å, 34.85 deg, rel. 35
- 2.652 Å, 33.80 deg, rel. 25
- 1.517 Å, 61.10 deg, rel. 20
- 2.954 Å, 30.26 deg, rel. 18
- 1.972 Å, 46.01 deg, rel. 17
- 3.155 Å, 28.28 deg, rel. 16
- 2.789 Å, 32.09 deg, rel. 14
- 1.432 Å, 65.13 deg, rel. 14



Computed powder diffractogram
Compound: YTm12Sc6
Radiation: CuKα
Structure: the GGA-PBE geometry in Alexandria

Atomic structure:
```
19
Lattice="6.348 3.665 4.194 -6.348 3.665 4.194 0.000 -7.330 4.194" Properties=species:S:1:pos:R:3 pbc="T T T"
Y 0.000 0.000 0.000
Tm -2.393 -4.144 6.291
Tm -4.786 0.000 6.291
Tm -1.788 -1.032 4.755
Tm 1.788 -1.032 4.755
Tm 0.000 2.064 4.755
Tm 2.393 -4.144 6.291
Tm -2.393 4.144 6.291
Tm 0.000 -2.064 7.826
Tm -1.788 1.032 7.826
Tm 1.788 1.032 7.826
Tm 4.786 0.000 6.291
Tm 2.393 4.144 6.291
Sc 0.000 -3.984 4.703
Sc -3.450 1.992 4.703
Sc -3.450 -1.992 7.878
Sc 3.450 1.992 4.703
Sc 3.450 -1.992 7.878
Sc 0.000 3.984 7.878
```

Top 10 peaks for 2θ from 5° to 70°, most intense first:
- 2.964 Å, 30.15 deg, rel. 100
- 2.760 Å, 32.44 deg, rel. 87
- 3.499 Å, 25.45 deg, rel. 42
- 2.519 Å, 35.64 deg, rel. 35
- 4.140 Å, 21.47 deg, rel. 28
- 1.820 Å, 50.12 deg, rel. 27
- 1.559 Å, 59.29 deg, rel. 22
- 8.279 Å, 10.69 deg, rel. 21
- 3.024 Å, 29.54 deg, rel. 20
- 2.116 Å, 42.73 deg, rel. 19



Computed powder diffractogram
Compound: Y3Tm5Sc
Radiation: CuKα
Structure: the GGA-PBE geometry in Alexandria

Atomic structure:
```
18
Lattice="8.019 -3.276 0.000 8.019 3.276 0.000 -3.623 0.000 10.815" Properties=species:S:1:pos:R:3 pbc="T T T"
Y 0.000 0.000 0.000
Y -1.812 0.000 5.407
Y 2.650 0.413 10.687
Y 4.461 -0.413 5.280
Y 7.954 0.413 5.534
Y 9.765 -0.413 0.127
Tm 3.794 1.319 2.562
Tm 1.286 0.424 4.809
Tm -0.525 -0.424 10.216
Tm 5.302 1.161 8.111
Tm 1.982 -1.319 7.969
Tm 10.433 1.319 2.846
Tm 7.113 -1.161 2.704
Tm 12.940 0.424 0.598
Tm 11.129 -0.424 6.006
Tm 8.621 -1.319 8.253
Sc 7.113 2.049 2.704
Sc 5.302 -2.049 8.111
```

Top 10 peaks for 2θ from 5° to 70°, most intense first:
- 2.805 Å, 31.90 deg, rel. 100
- 3.095 Å, 28.85 deg, rel. 26
- 2.704 Å, 33.13 deg, rel. 20
- 3.794 Å, 23.45 deg, rel. 18
- 2.729 Å, 32.82 deg, rel. 17
- 3.485 Å, 25.56 deg, rel. 13
- 2.148 Å, 42.06 deg, rel. 11
- 7.604 Å, 11.64 deg, rel. 9
- 2.591 Å, 34.62 deg, rel. 9
- 2.535 Å, 35.41 deg, rel. 9



Copy entry 8 word for word.
Computed powder diffractogram
Compound: Tm2Sc5
Radiation: CuKα
Structure: the GGA-PBE geometry in Alexandria

Atomic structure:
```
7
Lattice="2.643 1.526 7.605 -2.643 1.526 7.605 0.000 -3.052 7.605" Properties=species:S:1:pos:R:3 pbc="T T T"
Tm 0.000 0.000 3.169
Tm 0.000 0.000 19.647
Sc 0.000 0.000 0.000
Sc 0.000 0.000 6.584
Sc 0.000 0.000 9.737
Sc 0.000 0.000 13.079
Sc 0.000 0.000 16.232
```

Top 10 peaks for 2θ from 5° to 70°, most intense first:
- 2.643 Å, 33.92 deg, rel. 100
- 2.655 Å, 33.76 deg, rel. 99
- 7.605 Å, 11.64 deg, rel. 50
- 3.570 Å, 24.94 deg, rel. 41
- 1.528 Å, 60.59 deg, rel. 35
- 1.873 Å, 48.61 deg, rel. 34
- 4.488 Å, 19.78 deg, rel. 30
- 2.497 Å, 35.97 deg, rel. 23
- 1.536 Å, 60.27 deg, rel. 21
- 1.526 Å, 60.69 deg, rel. 18